No. 1
Calculated powder diffraction line list of Na3FeO3 for Cu Kα (λ = 1.5418 Å), from a DFT-relaxed cell (GGA+U, Alexandria).
Intensities are scaled so that the largest is 100.

The 12 most intense peaks (10° ≤ 2θ ≤ 80°), low angle first:
2theta	intensity
16.33	63
16.45	21
22.07	65
22.37	57
33.00	39
34.27	100
36.40	36
36.81	82
46.84	30
47.16	23
57.99	23
62.20	21

Structure:
```
data_Na3FeO3
_space_group_name_H-M_alt 'P 1'
_space_group_IT_number 1
_cell_length_a 8.615
_cell_length_b 8.615
_cell_length_c 6.207
_cell_angle_alpha 110.46
_cell_angle_beta 110.46
_cell_angle_gamma 78.13
loop_
_space_group_symop_operation_xyz
'x,y,z'
loop_
_atom_site_label
_atom_site_type_symbol
_atom_site_fract_x
_atom_site_fract_y
_atom_site_fract_z
Na1 Na 0.021 0.979 0.500
Na2 Na 0.080 0.610 0.951
Na3 Na 0.221 0.269 0.240
Na4 Na 0.269 0.221 0.740
Na5 Na 0.316 0.887 0.967
Na6 Na 0.454 0.511 0.093
Na7 Na 0.511 0.454 0.593
Na8 Na 0.610 0.080 0.451
Na9 Na 0.688 0.779 0.020
Na10 Na 0.779 0.688 0.520
Na11 Na 0.887 0.316 0.467
Na12 Na 0.979 0.021 0.000
Fe1 Fe 0.134 0.607 0.511
Fe2 Fe 0.377 0.856 0.440
Fe3 Fe 0.607 0.134 0.011
Fe4 Fe 0.856 0.377 0.940
O1 O 0.027 0.224 0.836
O2 O 0.043 0.796 0.711
O3 O 0.224 0.027 0.336
O4 O 0.262 0.659 0.348
O5 O 0.270 0.475 0.702
O6 O 0.475 0.270 0.202
O7 O 0.480 0.947 0.783
O8 O 0.538 0.790 0.273
O9 O 0.659 0.262 0.848
O10 O 0.790 0.538 0.773
O11 O 0.796 0.043 0.211
O12 O 0.947 0.480 0.283
```

***

No. 2
Calculated powder diffraction line list of Na4FeO5 for Cu Kα (λ = 1.5418 Å), from a DFT-relaxed cell (GGA+U, Alexandria).
Intensities are scaled so that the largest is 100.

The 12 most intense peaks (10° ≤ 2θ ≤ 80°), low angle first:
2theta	intensity
19.15	37
19.61	74
20.51	23
21.26	26
33.15	73
33.28	25
38.04	100
38.15	99
39.31	92
55.02	23
55.74	23
56.00	45

Structure:
```
data_Na4FeO5
_space_group_name_H-M_alt 'P 1'
_space_group_IT_number 1
_cell_length_a 5.683
_cell_length_b 9.994
_cell_length_c 10.015
_cell_angle_alpha 113.35
_cell_angle_beta 96.45
_cell_angle_gamma 96.24
loop_
_space_group_symop_operation_xyz
'x,y,z'
loop_
_atom_site_label
_atom_site_type_symbol
_atom_site_fract_x
_atom_site_fract_y
_atom_site_fract_z
Na1 Na 0.000 0.000 0.000
Na2 Na 0.003 0.397 0.598
Na3 Na 0.004 0.197 0.805
Na4 Na 0.243 0.939 0.548
Na5 Na 0.248 0.547 0.939
Na6 Na 0.276 0.362 0.159
Na7 Na 0.277 0.155 0.355
Na8 Na 0.497 0.099 0.903
Na9 Na 0.500 0.500 0.500
Na10 Na 0.503 0.901 0.097
Na11 Na 0.723 0.845 0.645
Na12 Na 0.724 0.638 0.841
Na13 Na 0.752 0.453 0.061
Na14 Na 0.757 0.061 0.452
Na15 Na 0.996 0.803 0.195
Na16 Na 0.997 0.603 0.402
Fe1 Fe 0.203 0.761 0.778
Fe2 Fe 0.488 0.733 0.291
Fe3 Fe 0.512 0.267 0.709
Fe4 Fe 0.797 0.239 0.222
O1 O 0.069 0.349 0.352
O2 O 0.113 0.774 0.949
O3 O 0.126 0.932 0.773
O4 O 0.204 0.193 0.605
O5 O 0.206 0.602 0.189
O6 O 0.328 0.589 0.725
O7 O 0.385 0.903 0.316
O8 O 0.397 0.317 0.883
O9 O 0.403 0.710 0.452
O10 O 0.477 0.154 0.156
O11 O 0.523 0.846 0.844
O12 O 0.597 0.290 0.548
O13 O 0.603 0.683 0.117
O14 O 0.615 0.097 0.684
O15 O 0.672 0.411 0.275
O16 O 0.794 0.398 0.811
O17 O 0.796 0.807 0.395
O18 O 0.874 0.068 0.227
O19 O 0.887 0.226 0.051
O20 O 0.931 0.651 0.648
```